Simulated powder X-ray diffraction pattern of BaInWO6 for Cu Kα, 1.54184 Å, from a structure optimized by DFT (GGA+U).
No peak broadening, texture or thermal motion is included.

Crystal structure
abc: 5.592 5.592 5.621
angles: 90.00 90.00 120.00
Fractional coordinates of all 9 atoms:
Ba 0.000 0.000 0.000
In 0.333 0.667 0.500
W 0.667 0.333 0.500
O 0.404 0.029 0.701
O 0.404 0.376 0.299
O 0.624 0.029 0.299
O 0.624 0.596 0.701
O 0.971 0.376 0.701
O 0.971 0.596 0.299

Top 10 peaks for 5° ≤ 2θ ≤ 70°, sorted by position:
2θ (°)  intensity  (hkl)
15.77  21.2  0 0 1
24.26  100.0  1 0 1
31.84  11.7  0 0 2
32.01  42.8  1 1 0
35.87  12.1  2 -1 1
40.56  22.5  2 0 1
45.77  45.7  2 -1 2
52.58  23.5  3 -1 1
57.05  12.6  3 0 0
66.87  16.5  2 2 0